For Mg10B16Ir19, the GGA-PBE geometry in OQMD gives the theoretical powder XRD pattern in this record (Cu Kα).
Peak positions follow from Bragg's law for the DFT cell and can differ from measured ones.

Most intense lines, 10° ≤ 2θ ≤ 90°, in order of rising 2θ:
h k l  2θ (°)  I (rel.)
2 1 1  20.5  100
3 2 1  31.5  78
4 0 0  33.7  94
4 1 1  35.9  35
4 2 2  41.6  59
4 3 1  43.4  33
4 4 0  48.5  35
6 0 0  51.6  32
5 3 2  53.1  31
6 6 0  76.0  31

Crystal structure
```
data_Mg10B16Ir19
_chemical_formula_sum 'Mg20 B32 Ir38'
_cell_length_a 10.6243
_cell_length_b 10.6243
_cell_length_c 10.6243
_cell_angle_alpha 90.00
_cell_angle_beta 90.00
_cell_angle_gamma 90.00
_symmetry_space_group_name_H-M 'I -4 3 m'
_symmetry_Int_Tables_number 217
_symmetry_space_group_name_Hall 'I -4 2 3'
loop_
_atom_site_label
_atom_site_fract_x
_atom_site_fract_y
_atom_site_fract_z
Mg1 0.0000 0.0000 0.3471
Mg2 0.1671 0.1671 0.1671
B1 0.0885 0.3364 0.3364
B2 0.1114 0.1114 0.8886
Ir1 0.0000 0.0000 0.0000
Ir2 0.0000 0.2500 0.5000
Ir3 0.0694 0.2518 0.7482
```